The following is a theoretical powder X-ray diffraction pattern of MnNi8Rh6. It was derived from DFT lattice parameters and positions (GGA-PBE), using λ = 1.5418 Å (Cu Kα).
Kinematic intensities with the Lorentz-polarization factor, no thermal factor.

```
data_MnNi8Rh6
_chemical_formula_sum 'Mn3 Ni24 Rh18'
_cell_length_a 6.9834
_cell_length_b 6.9834
_cell_length_c 14.2073
_cell_angle_alpha 90.00
_cell_angle_beta 90.00
_cell_angle_gamma 120.00
_symmetry_space_group_name_H-M 'R -3'
_symmetry_Int_Tables_number 148
_symmetry_space_group_name_Hall '-R 3'
loop_
_atom_site_label
_atom_site_type_symbol
_atom_site_fract_x
_atom_site_fract_y
_atom_site_fract_z
_atom_site_occupancy
Mn1 Mn 0.0000 0.0000 0.0000 1
Ni1 Ni 0.0000 0.0000 0.2116 1
Ni2 Ni 0.0044 0.6818 0.1426 1
Rh1 Rh 0.0373 0.7948 0.6417 1
```

Largest 6 diffraction maxima, in order of rising 2θ, 2θ = 10–80°:
| d (Å) | 2θ/deg | I_rel | hkl |
| --- | --- | --- | --- |
| 2.257 | 39.9 | 100 | 3 -1 1 |
| 2.176 | 41.5 | 100 | 1 2 2 |
| 2.016 | 45.0 | 49 | 3 0 0 |
| 1.960 | 46.3 | 92 | 1 1 6 |
| 1.923 | 47.3 | 85 | 3 -1 4 |
| 1.855 | 49.1 | 42 | 0 3 3 |

The following is a theoretical powder X-ray diffraction pattern of MnNi23Rh6. It was derived from DFT lattice parameters and positions (GGA-PBE), using λ = 1.5418 Å (Cu Kα).
Kinematic intensities with the Lorentz-polarization factor, no thermal factor.

```
data_MnNi23Rh6
_chemical_formula_sum 'Mn4 Ni92 Rh24'
_cell_length_a 11.2804
_cell_length_b 11.2804
_cell_length_c 11.2804
_cell_angle_alpha 90.00
_cell_angle_beta 90.00
_cell_angle_gamma 90.00
_symmetry_space_group_name_H-M 'F m -3 m'
_symmetry_Int_Tables_number 225
_symmetry_space_group_name_Hall '-F 4 2 3'
loop_
_atom_site_label
_atom_site_type_symbol
_atom_site_fract_x
_atom_site_fract_y
_atom_site_fract_z
_atom_site_occupancy
Mn1 Mn 0.0000 0.0000 0.0000 1
Ni1 Ni 0.0000 0.0000 0.5000 1
Ni2 Ni 0.0000 0.2500 0.2500 1
Ni3 Ni 0.1216 0.1216 0.3784 1
Ni4 Ni 0.1641 0.1641 0.1641 1
Rh1 Rh 0.0000 0.0000 0.2261 1
```

Largest 6 diffraction maxima, in order of rising 2θ, 2θ = 10–80°:
| d (Å) | 2θ/deg | I_rel | hkl |
| --- | --- | --- | --- |
| 2.522 | 35.6 | 11 | 4 2 0 |
| 2.303 | 39.1 | 9 | 4 2 2 |
| 2.171 | 41.6 | 31 | 3 3 3 |
| 1.994 | 45.5 | 100 | 4 4 0 |
| 1.880 | 48.4 | 8 | 6 0 0 |
| 1.410 | 66.3 | 9 | 8 0 0 |